No. 1
For Cs3SeO3, a structure optimized by DFT (PBE) gives the theoretical X-ray powder pattern in this record (Cu Kα (weighted mean of Kα1 and Kα2)).
Kinematic intensities with the Lorentz-polarization factor, no thermal factor.

Principal peaks in the range 2θ = 10–80°, by angle:
d_spacing, I (rel.)
3.851, 37
3.262, 100
3.067, 29
2.911, 10
2.399, 20
2.224, 26
1.837, 18
1.806, 18
1.800, 27
1.416, 14

Structure:
```
data_Cs3SeO3
_chemical_formula_sum 'Cs6 Se2 O6'
_cell_length_a 8.8907
_cell_length_b 8.8907
_cell_length_c 6.1338
_cell_angle_alpha 90.00
_cell_angle_beta 90.00
_cell_angle_gamma 119.92
_symmetry_space_group_name_H-M 'P 1'
_symmetry_Int_Tables_number 1
loop_
_symmetry_equiv_pos_as_xyz
'x,y,z'
loop_
_atom_site_label
_atom_site_type_symbol
_atom_site_fract_x
_atom_site_fract_y
_atom_site_fract_z
Cs1 Cs 0.1807 0.8193 0.7500
Cs2 Cs 0.1820 0.3631 0.7500
Cs3 Cs 0.3631 0.1820 0.2500
Cs4 Cs 0.6369 0.8180 0.7500
Cs5 Cs 0.8180 0.6369 0.2500
Cs6 Cs 0.8193 0.1807 0.2500
Se1 Se 0.3330 0.6670 0.2500
Se2 Se 0.6670 0.3330 0.7500
O1 O 0.2077 0.7923 0.2500
O2 O 0.2091 0.4172 0.2500
O3 O 0.4172 0.2091 0.7500
O4 O 0.5828 0.7909 0.2500
O5 O 0.7909 0.5828 0.7500
O6 O 0.7923 0.2077 0.7500
```

No. 2
For Cs2SeO3, a structure optimized by DFT (PBE) gives the theoretical X-ray powder pattern in this record (Cu Kα (weighted mean of Kα1 and Kα2)).
Kinematic intensities with the Lorentz-polarization factor, no thermal factor.

Principal peaks in the range 2θ = 10–80°, by angle:
d_spacing, I (rel.)
3.665, 100
3.323, 58
3.251, 77
3.238, 59
3.212, 53
3.197, 41
2.474, 30
2.392, 29
2.086, 16
1.880, 16

Structure:
```
data_Cs2SeO3
_chemical_formula_sum 'Cs4 Se2 O6'
_cell_length_a 6.5090
_cell_length_b 7.2007
_cell_length_c 8.2175
_cell_angle_alpha 66.22
_cell_angle_beta 69.09
_cell_angle_gamma 64.97
_symmetry_space_group_name_H-M 'P 1'
_symmetry_Int_Tables_number 1
loop_
_symmetry_equiv_pos_as_xyz
'x,y,z'
loop_
_atom_site_label
_atom_site_type_symbol
_atom_site_fract_x
_atom_site_fract_y
_atom_site_fract_z
Cs1 Cs 0.0547 0.1885 0.2078
Cs2 Cs 0.3206 0.5608 0.2496
Cs3 Cs 0.6794 0.4392 0.7504
Cs4 Cs 0.9453 0.8115 0.7922
Se1 Se 0.3409 0.1337 0.6969
Se2 Se 0.6591 0.8663 0.3031
O1 O 0.1477 0.1730 0.5767
O2 O 0.2001 0.3387 0.7983
O3 O 0.3393 0.8970 0.8710
O4 O 0.6607 0.1030 0.1290
O5 O 0.7999 0.6613 0.2017
O6 O 0.8523 0.8270 0.4233
```

No. 3
For Cs2Se2O5, a structure optimized by DFT (PBE) gives the theoretical X-ray powder pattern in this record (Cu Kα (weighted mean of Kα1 and Kα2)).
Kinematic intensities with the Lorentz-polarization factor, no thermal factor.

Principal peaks in the range 2θ = 10–80°, by angle:
d_spacing, I (rel.)
3.768, 100
3.651, 66
3.625, 28
3.486, 41
3.230, 67
3.015, 35
2.906, 26
2.773, 17
2.512, 20
1.788, 17

Structure:
```
data_Cs2Se2O5
_chemical_formula_sum 'Cs2 Se2 O5'
_cell_length_a 4.5668
_cell_length_b 6.9167
_cell_length_c 7.9012
_cell_angle_alpha 69.02
_cell_angle_beta 82.13
_cell_angle_gamma 89.34
_symmetry_space_group_name_H-M 'P 1'
_symmetry_Int_Tables_number 1
loop_
_symmetry_equiv_pos_as_xyz
'x,y,z'
loop_
_atom_site_label
_atom_site_type_symbol
_atom_site_fract_x
_atom_site_fract_y
_atom_site_fract_z
Cs1 Cs 0.0000 0.0000 0.0000
Cs2 Cs 0.2609 0.4812 0.4928
Se1 Se 0.6501 0.9038 0.5852
Se2 Se 0.6584 0.5085 0.9750
O1 O 0.4325 0.6510 0.0678
O2 O 0.4519 0.3722 0.8916
O3 O 0.7960 0.8423 0.4040
O4 O 0.8152 0.1269 0.5698
O5 O 0.8575 0.7127 0.7650
```

Number 3 is which compound?
Cs2Se2O5

Which formula does entry 1 have?
Cs3SeO3